# 1
Starting from a DFT-relaxed cell (PBE+U, Alexandria), the X-ray diffraction stick pattern of LiFePO4 was simulated for copper Kα.

Crystal structure
Unit cell a=5.2671 b=5.2671 c=13.2135 alpha=90.00 beta=90.00 gamma=120.00
Space group P6_222 (No. 180)
Asymmetric unit:
Li: 0.0000 0.0000 0.0000 (multiplicity 3)
Fe: 0.0000 0.5000 0.1667 (multiplicity 3)
P: 0.0000 0.5000 0.6667 (multiplicity 3)
O: 0.1824 0.4046 0.7322 (multiplicity 12)

The 10 most intense peaks (10 to 90 degrees two-theta), by angle:
| Position (°2θ) | d/Å | intensity |
| --- | --- | --- |
| 19.5 | 4.561 | 10 |
| 23.7 | 3.754 | 100 |
| 33.5 | 2.675 | 8 |
| 39.5 | 2.281 | 7 |
| 44.0 | 2.059 | 20 |
| 55.0 | 1.668 | 10 |
| 58.2 | 1.584 | 12 |
| 60.6 | 1.528 | 5 |
| 66.9 | 1.399 | 4 |
| 76.7 | 1.243 | 5 |

# 2
Starting from a DFT-relaxed cell (PBE+U, Alexandria), the X-ray diffraction stick pattern of LiFePO4 was simulated for copper Kα.

Crystal structure
Unit cell a=5.6194 b=6.3137 c=9.2310 alpha=75.05 beta=82.43 gamma=76.72
Space group P-1 (No. 2)
Asymmetric unit:
Li: 0.1027 0.4746 0.2468 (multiplicity 2)
Li: 0.3658 0.6302 0.6150 (multiplicity 2)
Fe: 0.2241 0.8346 0.9135 (multiplicity 2)
Fe: 0.3311 0.9489 0.2911 (multiplicity 2)
P: 0.1868 0.1805 0.5778 (multiplicity 2)
P: 0.3048 0.3029 0.9517 (multiplicity 2)
O: 0.0717 0.7265 0.3539 (multiplicity 2)
O: 0.1137 0.1649 0.9423 (multiplicity 2)
O: 0.1637 0.1799 0.4125 (multiplicity 2)
O: 0.2111 0.5419 0.8556 (multiplicity 2)
O: 0.2913 0.9392 0.6731 (multiplicity 2)
O: 0.3330 0.2907 0.1192 (multiplicity 2)
O: 0.3817 0.3205 0.5819 (multiplicity 2)
O: 0.4333 0.7942 0.1109 (multiplicity 2)

The 10 most intense peaks (10 to 90 degrees two-theta), by angle:
| Position (°2θ) | d/Å | intensity |
| --- | --- | --- |
| 14.8 | 5.971 | 100 |
| 21.9 | 4.054 | 45 |
| 24.8 | 3.584 | 31 |
| 31.9 | 2.804 | 44 |
| 32.9 | 2.725 | 84 |
| 33.1 | 2.709 | 38 |
| 33.3 | 2.693 | 42 |
| 35.2 | 2.547 | 50 |
| 35.6 | 2.523 | 39 |
| 52.1 | 1.756 | 30 |

# 3
Starting from a DFT-relaxed cell (PBE+U, Alexandria), the X-ray diffraction stick pattern of LiFeP2O7 was simulated for copper Kα.

Crystal structure
Unit cell a=6.9694 b=8.2638 c=9.3530 alpha=90.00 beta=108.79 gamma=90.00
Space group Cc (No. 9)
Asymmetric unit:
Li: 0.0000 0.1864 0.0000 (multiplicity 4)
Fe: 0.0818 0.1792 0.4550 (multiplicity 4)
P: 0.2272 0.4844 0.6829 (multiplicity 4)
P: 0.3405 0.0077 0.2670 (multiplicity 4)
O: 0.0287 0.4217 0.7255 (multiplicity 4)
O: 0.1640 0.0144 0.6182 (multiplicity 4)
O: 0.1860 0.3582 0.1007 (multiplicity 4)
O: 0.2647 0.3405 0.5892 (multiplicity 4)
O: 0.2904 0.1444 0.3614 (multiplicity 4)
O: 0.3955 0.1485 0.8571 (multiplicity 4)
O: 0.3996 0.4923 0.8373 (multiplicity 4)

The 10 most intense peaks (10 to 90 degrees two-theta), by angle:
| Position (°2θ) | d/Å | intensity |
| --- | --- | --- |
| 17.6 | 5.042 | 85 |
| 22.0 | 4.036 | 38 |
| 23.8 | 3.744 | 32 |
| 28.0 | 3.182 | 100 |
| 29.6 | 3.021 | 82 |
| 29.7 | 3.006 | 62 |
| 30.9 | 2.895 | 24 |
| 38.8 | 2.323 | 19 |
| 43.2 | 2.095 | 20 |
| 58.6 | 1.575 | 21 |

# 4
Starting from a DFT-relaxed cell (PBE+U, Alexandria), the X-ray diffraction stick pattern of Li2FeP2O8 was simulated for copper Kα.

Crystal structure
Unit cell a=4.9461 b=4.9502 c=7.0564 alpha=84.14 beta=89.68 gamma=60.50
Space group P-1 (No. 2)
Asymmetric unit:
Li: 0.1948 0.1126 0.2859 (multiplicity 2)
Fe: 0.5000 0.5000 0.0000 (multiplicity 1)
P: 0.1455 0.2181 0.7617 (multiplicity 2)
O: 0.1647 0.7647 0.1794 (multiplicity 2)
O: 0.1659 0.2342 0.5411 (multiplicity 2)
O: 0.1746 0.4875 0.8344 (multiplicity 2)
O: 0.4296 0.8959 0.8346 (multiplicity 2)

The 10 most intense peaks (10 to 90 degrees two-theta), by angle:
| Position (°2θ) | d/Å | intensity |
| --- | --- | --- |
| 12.6 | 7.010 | 72 |
| 23.7 | 3.751 | 100 |
| 25.6 | 3.481 | 46 |
| 32.1 | 2.791 | 22 |
| 36.3 | 2.473 | 11 |
| 36.5 | 2.462 | 14 |
| 38.5 | 2.337 | 9 |
| 44.7 | 2.026 | 9 |
| 56.6 | 1.625 | 8 |
| 65.5 | 1.426 | 9 |

# 5
Starting from a DFT-relaxed cell (PBE+U, Alexandria), the X-ray diffraction stick pattern of LiFePO4 was simulated for copper Kα.

Crystal structure
Unit cell a=5.9002 b=7.5212 c=14.0208 alpha=90.00 beta=90.00 gamma=90.00
Space group Pbca (No. 61)
Asymmetric unit:
Li: 0.2071 0.1744 0.2187 (multiplicity 8)
Fe: 0.1128 0.6844 0.5335 (multiplicity 8)
P: 0.1071 0.5525 0.8707 (multiplicity 8)
O: 0.0178 0.6276 0.1332 (multiplicity 8)
O: 0.0592 0.2048 0.5936 (multiplicity 8)
O: 0.2024 0.0463 0.9506 (multiplicity 8)
O: 0.2019 0.5932 0.7726 (multiplicity 8)

The 10 most intense peaks (10 to 90 degrees two-theta), by angle:
| Position (°2θ) | d/Å | intensity |
| --- | --- | --- |
| 12.6 | 7.010 | 100 |
| 24.5 | 3.632 | 16 |
| 26.9 | 3.314 | 17 |
| 27.1 | 3.294 | 60 |
| 30.9 | 2.889 | 32 |
| 32.6 | 2.746 | 25 |
| 34.2 | 2.624 | 18 |
| 35.1 | 2.559 | 27 |
| 40.1 | 2.248 | 14 |
| 51.4 | 1.777 | 18 |

# 6
Starting from a DFT-relaxed cell (PBE+U, Alexandria), the X-ray diffraction stick pattern of LiFeP2O7 was simulated for copper Kα.

Crystal structure
Unit cell a=5.0535 b=6.7014 c=8.3669 alpha=68.33 beta=88.49 gamma=88.88
Space group P1 (No. 1)
Asymmetric unit:
Li: 0.0000 0.0000 0.0000 (multiplicity 1)
Li: 0.4351 0.7436 0.5389 (multiplicity 1)
Fe: 0.4091 0.1533 0.2578 (multiplicity 1)
Fe: 0.9182 0.7173 0.8024 (multiplicity 1)
P: 0.4082 0.0406 0.7007 (multiplicity 1)
P: 0.4394 0.3817 0.8446 (multiplicity 1)
P: 0.8863 0.4827 0.2124 (multiplicity 1)
P: 0.9230 0.8107 0.3717 (multiplicity 1)
O: 0.0756 0.2936 0.2753 (multiplicity 1)
O: 0.1198 0.9870 0.7673 (multiplicity 1)
O: 0.2182 0.8585 0.3305 (multiplicity 1)
O: 0.2584 0.5793 0.7632 (multiplicity 1)
O: 0.3253 0.2057 0.0055 (multiplicity 1)
O: 0.4446 0.0545 0.5165 (multiplicity 1)
O: 0.4557 0.2801 0.6953 (multiplicity 1)
O: 0.6024 0.4162 0.2035 (multiplicity 1)
O: 0.6070 0.8882 0.8239 (multiplicity 1)
O: 0.7235 0.4438 0.8625 (multiplicity 1)
O: 0.7450 0.9713 0.2371 (multiplicity 1)
O: 0.8350 0.7744 0.5566 (multiplicity 1)
O: 0.8785 0.5778 0.3642 (multiplicity 1)
O: 0.9810 0.6675 0.0476 (multiplicity 1)

The 10 most intense peaks (10 to 90 degrees two-theta), by angle:
| Position (°2θ) | d/Å | intensity |
| --- | --- | --- |
| 14.6 | 6.076 | 40 |
| 22.5 | 3.943 | 37 |
| 22.8 | 3.895 | 100 |
| 31.8 | 2.817 | 17 |
| 32.1 | 2.784 | 13 |
| 32.4 | 2.765 | 9 |
| 35.5 | 2.526 | 13 |
| 36.0 | 2.498 | 7 |
| 39.2 | 2.300 | 7 |
| 57.2 | 1.612 | 7 |

# 7
Starting from a DFT-relaxed cell (PBE+U, Alexandria), the X-ray diffraction stick pattern of Li2FeP2O7 was simulated for copper Kα.

Crystal structure
Unit cell a=6.9304 b=13.0903 c=7.0147 alpha=90.00 beta=90.00 gamma=90.00
Space group Imma (No. 74)
Asymmetric unit:
Li: 0.2500 0.0178 0.2500 (multiplicity 8)
Fe: 0.2500 0.2500 0.2500 (multiplicity 4)
P: 0.0000 0.1394 0.5610 (multiplicity 8)
O: 0.0000 0.0584 0.7143 (multiplicity 8)
O: 0.0000 0.2500 0.6672 (multiplicity 4)
O: 0.1835 0.1368 0.4344 (multiplicity 16)

The 10 most intense peaks (10 to 90 degrees two-theta), by angle:
| Position (°2θ) | d/Å | intensity |
| --- | --- | --- |
| 13.5 | 6.545 | 33 |
| 14.3 | 6.183 | 19 |
| 18.0 | 4.930 | 100 |
| 24.0 | 3.705 | 21 |
| 29.6 | 3.023 | 75 |
| 32.8 | 2.727 | 18 |
| 37.6 | 2.393 | 36 |
| 39.1 | 2.306 | 13 |
| 47.6 | 1.909 | 9 |
| 59.3 | 1.558 | 19 |